For La3HN, DFT lattice parameters and positions (GGA-PBE) gives the calculated powder XRD pattern in this record (Cu Kα, 1.54184 Å).
Intensities are scaled so that the largest is 100.

Peak list (6 most intense, 2θ = 10–90°, by intensity)
d [Å]  Position (°2θ)  I_rel
3.183  28.03  100.0
3.147  28.36  95.1
2.349  38.32  83.0
2.951  30.29  81.8
2.588  34.67  72.7
2.961  30.18  71.5

Atomic structure:
```
data_La3HN
_cell_length_a 6.5632
_cell_length_b 3.7750
_cell_length_c 9.7554
_cell_angle_alpha 90.00
_cell_angle_beta 104.05
_cell_angle_gamma 90.00
_space_group_name_H-M_alt 'P 1 21/m 1'
_space_group_IT_number 11
_space_group_name_Hall '-P 2yb'
loop_
_atom_site_label
_atom_site_type_symbol
_atom_site_fract_x
_atom_site_fract_y
_atom_site_fract_z
La1 La 0.2117 0.2500 0.2667
La2 La 0.2234 0.7500 0.5840
La3 La 0.2496 0.2500 0.9026
H1 H 0.4687 0.7500 0.8476
N1 N 0.0028 0.2500 0.6676
```



For La2H2N, DFT lattice parameters and positions (GGA-PBE) gives the calculated powder XRD pattern in this record (Cu Kα, 1.54184 Å).
Intensities are scaled so that the largest is 100.

Peak list (6 most intense, 2θ = 10–90°, by intensity)
d [Å]  Position (°2θ)  I_rel
3.201  27.88  100.0
1.848  49.32  24.0
3.032  29.46  17.4
2.200  41.02  15.6
1.781  51.29  15.2
1.600  57.60  10.9

Atomic structure:
```
data_La2H2N
_cell_length_a 6.3970
_cell_length_b 9.3295
_cell_length_c 6.0634
_cell_angle_alpha 90.00
_cell_angle_beta 90.00
_cell_angle_gamma 90.00
_space_group_name_H-M_alt 'I b a m'
_space_group_IT_number 72
_space_group_name_Hall '-I 2 2c'
loop_
_atom_site_label
_atom_site_type_symbol
_atom_site_fract_x
_atom_site_fract_y
_atom_site_fract_z
La1 La 0.2282 0.1126 0.0000
H1 H 0.1170 0.3680 0.0000
N1 N 0.0000 0.0000 0.2500
```



For La2H3N, DFT lattice parameters and positions (GGA-PBE) gives the calculated powder XRD pattern in this record (Cu Kα, 1.54184 Å).
Intensities are scaled so that the largest is 100.

Peak list (6 most intense, 2θ = 10–90°, by intensity)
d [Å]  Position (°2θ)  I_rel
3.292  27.08  100.0
1.719  53.28  45.8
2.851  31.37  44.4
2.016  44.96  42.3
1.308  72.21  18.3
1.275  74.39  15.5

Atomic structure:
```
data_La2H3N
_cell_length_a 5.7027
_cell_length_b 5.7027
_cell_length_c 5.7027
_cell_angle_alpha 90.00
_cell_angle_beta 90.00
_cell_angle_gamma 90.00
_space_group_name_H-M_alt 'P n -3 m'
_space_group_IT_number 224
loop_
_space_group_symop_operation_xyz
'x,y,z'
'-x,-y,-z'
'-y,x+1/2,z+1/2'
'y,-x+1/2,-z+1/2'
'-x+1/2,-y+1/2,z'
'x+1/2,y+1/2,-z'
'y+1/2,-x,z+1/2'
'-y+1/2,x,-z+1/2'
'x,-y+1/2,-z+1/2'
'-x,y+1/2,z+1/2'
'-y,-x,-z'
'y,x,z'
'-x+1/2,y,-z+1/2'
'x+1/2,-y,z+1/2'
'y+1/2,x+1/2,-z'
'-y+1/2,-x+1/2,z'
'z,x,y'
'-z,-x,-y'
'z+1/2,-y,x+1/2'
'-z+1/2,y,-x+1/2'
'z,-x+1/2,-y+1/2'
'-z,x+1/2,y+1/2'
'z+1/2,y+1/2,-x'
'-z+1/2,-y+1/2,x'
'-z+1/2,x,-y+1/2'
'z+1/2,-x,y+1/2'
'-z,-y,-x'
'z,y,x'
'-z+1/2,-x+1/2,y'
'z+1/2,x+1/2,-y'
'-z,y+1/2,x+1/2'
'z,-y+1/2,-x+1/2'
'y,z,x'
'-y,-z,-x'
'x+1/2,z+1/2,-y'
'-x+1/2,-z+1/2,y'
'-y+1/2,z,-x+1/2'
'y+1/2,-z,x+1/2'
'-x,z+1/2,y+1/2'
'x,-z+1/2,-y+1/2'
'-y+1/2,-z+1/2,x'
'y+1/2,z+1/2,-x'
'-x,-z,-y'
'x,z,y'
'y,-z+1/2,-x+1/2'
'-y,z+1/2,x+1/2'
'x+1/2,-z,y+1/2'
'-x+1/2,z,-y+1/2'
loop_
_atom_site_label
_atom_site_type_symbol
_atom_site_fract_x
_atom_site_fract_y
_atom_site_fract_z
La1 La 0.0000 0.0000 0.0000
H1 H 0.2500 0.2500 0.7500
N1 N 0.2500 0.2500 0.2500
```



For La8H3N4, DFT lattice parameters and positions (GGA-PBE) gives the calculated powder XRD pattern in this record (Cu Kα, 1.54184 Å).
Intensities are scaled so that the largest is 100.

Peak list (6 most intense, 2θ = 10–90°, by intensity)
d [Å]  Position (°2θ)  I_rel
3.082  28.97  100.0
3.023  29.55  98.2
1.883  48.34  58.8
2.723  32.89  45.5
2.610  34.36  40.2
2.602  34.47  39.9

Atomic structure:
```
data_La8H3N4
_cell_length_a 10.4103
_cell_length_b 10.8916
_cell_length_c 7.2685
_cell_angle_alpha 90.00
_cell_angle_beta 134.09
_cell_angle_gamma 90.00
_space_group_name_H-M_alt 'C 1 2/m 1'
_space_group_IT_number 12
_space_group_name_Hall '-C 2y'
loop_
_atom_site_label
_atom_site_type_symbol
_atom_site_fract_x
_atom_site_fract_y
_atom_site_fract_z
La1 La 0.0000 0.2394 0.0000
La2 La 0.0000 0.2430 0.5000
La3 La 0.2235 0.0000 0.4734
La4 La 0.2418 0.0000 0.9896
H1 H 0.0000 0.5000 0.5000
H2 H 0.2500 0.2500 0.5000
N1 N 0.0000 0.0000 0.0000
N2 N 0.0000 0.0000 0.5000
N3 N 0.2500 0.2500 0.0000
```



Question: Number 1 is which compound?
Answer: La3HN



Repeat the third record exactly.
For La2H3N, DFT lattice parameters and positions (GGA-PBE) gives the calculated powder XRD pattern in this record (Cu Kα, 1.54184 Å).
Intensities are scaled so that the largest is 100.

Peak list (6 most intense, 2θ = 10–90°, by intensity)
d [Å]  Position (°2θ)  I_rel
3.292  27.08  100.0
1.719  53.28  45.8
2.851  31.37  44.4
2.016  44.96  42.3
1.308  72.21  18.3
1.275  74.39  15.5

Atomic structure:
```
data_La2H3N
_cell_length_a 5.7027
_cell_length_b 5.7027
_cell_length_c 5.7027
_cell_angle_alpha 90.00
_cell_angle_beta 90.00
_cell_angle_gamma 90.00
_space_group_name_H-M_alt 'P n -3 m'
_space_group_IT_number 224
loop_
_space_group_symop_operation_xyz
'x,y,z'
'-x,-y,-z'
'-y,x+1/2,z+1/2'
'y,-x+1/2,-z+1/2'
'-x+1/2,-y+1/2,z'
'x+1/2,y+1/2,-z'
'y+1/2,-x,z+1/2'
'-y+1/2,x,-z+1/2'
'x,-y+1/2,-z+1/2'
'-x,y+1/2,z+1/2'
'-y,-x,-z'
'y,x,z'
'-x+1/2,y,-z+1/2'
'x+1/2,-y,z+1/2'
'y+1/2,x+1/2,-z'
'-y+1/2,-x+1/2,z'
'z,x,y'
'-z,-x,-y'
'z+1/2,-y,x+1/2'
'-z+1/2,y,-x+1/2'
'z,-x+1/2,-y+1/2'
'-z,x+1/2,y+1/2'
'z+1/2,y+1/2,-x'
'-z+1/2,-y+1/2,x'
'-z+1/2,x,-y+1/2'
'z+1/2,-x,y+1/2'
'-z,-y,-x'
'z,y,x'
'-z+1/2,-x+1/2,y'
'z+1/2,x+1/2,-y'
'-z,y+1/2,x+1/2'
'z,-y+1/2,-x+1/2'
'y,z,x'
'-y,-z,-x'
'x+1/2,z+1/2,-y'
'-x+1/2,-z+1/2,y'
'-y+1/2,z,-x+1/2'
'y+1/2,-z,x+1/2'
'-x,z+1/2,y+1/2'
'x,-z+1/2,-y+1/2'
'-y+1/2,-z+1/2,x'
'y+1/2,z+1/2,-x'
'-x,-z,-y'
'x,z,y'
'y,-z+1/2,-x+1/2'
'-y,z+1/2,x+1/2'
'x+1/2,-z,y+1/2'
'-x+1/2,z,-y+1/2'
loop_
_atom_site_label
_atom_site_type_symbol
_atom_site_fract_x
_atom_site_fract_y
_atom_site_fract_z
La1 La 0.0000 0.0000 0.0000
H1 H 0.2500 0.2500 0.7500
N1 N 0.2500 0.2500 0.2500
```